Calculated powder XRD pattern
Compound: LiUF5
Radiation: copper Kα
Structure: a structure optimized by DFT (GGA-PBE)
No peak broadening, texture or thermal motion is included.

Main lines, by intensity (2θ = 10–80°):
2θ (°), I_rel, (hkl)
18.84, 100, 2 1 1
16.74, 83, 2 2 0
26.61, 69, 4 2 0
29.49, 61, 2 0 2
43.77, 59, 4 4 2
25.31, 54, 2 3 1
28.01, 53, 4 1 1
22.30, 52, 3 0 1
43.57, 35, 6 4 0
32.81, 25, 5 0 1

Structural model:
```
data_LiUF5
_cell_length_a 14.9789
_cell_length_b 14.9789
_cell_length_c 6.6246
_cell_angle_alpha 90.00
_cell_angle_beta 90.00
_cell_angle_gamma 90.00
_symmetry_space_group_name_H-M 'I 41/a'
_symmetry_Int_Tables_number 88
loop_
_symmetry_equiv_pos_as_xyz
'x,y,z'
'-x,-y,-z'
'-y+3/4,x+1/4,z+1/4'
'y+3/4,-x+1/4,-z+1/4'
'-x+1/2,-y,z+1/2'
'x+1/2,y,-z+1/2'
'y+3/4,-x+3/4,z+3/4'
'-y+3/4,x+3/4,-z+3/4'
'x+1/2,y+1/2,z+1/2'
'-x+1/2,-y+1/2,-z+1/2'
'-y+1/4,x+3/4,z+3/4'
'y+1/4,-x+3/4,-z+3/4'
'-x,-y+1/2,z'
'x,y+1/2,-z'
'y+1/4,-x+1/4,z+1/4'
'-y+1/4,x+1/4,-z+1/4'
loop_
_atom_site_label
_atom_site_type_symbol
_atom_site_fract_x
_atom_site_fract_y
_atom_site_fract_z
_atom_site_occupancy
Li1 Li 0.0697 0.1663 0.2697 1
U1 U 0.0624 0.0559 0.7459 1
F1 F 0.0352 0.0514 0.3707 1
F2 F 0.0485 0.1667 0.9788 1
F3 F 0.0677 0.3586 0.6770 1
F4 F 0.0752 0.4592 0.0027 1
F5 F 0.1569 0.4557 0.3901 1
```



Calculated powder XRD pattern
Compound: LiYF2
Radiation: copper Kα
Structure: a structure optimized by DFT (GGA-PBE)
No peak broadening, texture or thermal motion is included.

Main lines, by intensity (2θ = 10–80°):
2θ (°), I_rel, (hkl)
14.89, 100, 1 0 1
30.05, 28, 2 0 2
37.77, 28, 2 2 0
30.50, 25, 2 1 1
51.07, 19, 2 0 6
28.19, 16, 0 0 4
47.78, 15, 2 2 4
46.86, 12, 2 1 5
37.96, 11, 1 0 5
49.29, 10, 3 2 1

Structural model:
```
data_LiYF2
_cell_length_a 6.7375
_cell_length_b 6.7375
_cell_length_c 12.6628
_cell_angle_alpha 90.00
_cell_angle_beta 90.00
_cell_angle_gamma 90.00
_symmetry_space_group_name_H-M 'I 41/a m d'
_symmetry_Int_Tables_number 141
loop_
_symmetry_equiv_pos_as_xyz
'x,y,z'
'-x,-y,-z'
'-y+1/4,x+3/4,z+1/4'
'y+1/4,-x+3/4,-z+1/4'
'-x+1/2,-y,z+1/2'
'x+1/2,y,-z+1/2'
'y+1/4,-x+1/4,z+3/4'
'-y+1/4,x+1/4,-z+3/4'
'x,-y,-z'
'-x,y,z'
'-y+1/4,-x+1/4,-z+3/4'
'y+1/4,x+1/4,z+3/4'
'-x+1/2,y,-z+1/2'
'x+1/2,-y,z+1/2'
'y+1/4,x+3/4,-z+1/4'
'-y+1/4,-x+3/4,z+1/4'
'x+1/2,y+1/2,z+1/2'
'-x+1/2,-y+1/2,-z+1/2'
'-y+3/4,x+1/4,z+3/4'
'y+3/4,-x+1/4,-z+3/4'
'-x,-y+1/2,z'
'x,y+1/2,-z'
'y+3/4,-x+3/4,z+1/4'
'-y+3/4,x+3/4,-z+1/4'
'x+1/2,-y+1/2,-z+1/2'
'-x+1/2,y+1/2,z+1/2'
'-y+3/4,-x+3/4,-z+1/4'
'y+3/4,x+3/4,z+1/4'
'-x,y+1/2,-z'
'x,-y+1/2,z'
'y+3/4,x+1/4,-z+3/4'
'-y+3/4,-x+1/4,z+3/4'
loop_
_atom_site_label
_atom_site_type_symbol
_atom_site_fract_x
_atom_site_fract_y
_atom_site_fract_z
_atom_site_occupancy
Li1 Li 0.0000 0.0000 0.0000 1
Y1 Y 0.0000 0.0000 0.5000 1
F1 F 0.0000 0.0317 0.3128 1
```



Calculated powder XRD pattern
Compound: LiYF2
Radiation: copper Kα
Structure: a structure optimized by DFT (GGA-PBE)
No peak broadening, texture or thermal motion is included.

Main lines, by intensity (2θ = 10–80°):
2θ (°), I_rel, (hkl)
15.35, 100, 1 0 1
30.98, 77, 2 0 2
27.24, 73, 1 0 3
37.81, 62, 2 2 0
38.36, 50, 2 1 3
56.20, 37, 2 0 6
30.76, 23, 2 1 1
64.06, 22, 4 2 2
50.25, 21, 2 2 4
54.55, 18, 4 0 0

Structural model:
```
data_LiYF2
_cell_length_a 6.7294
_cell_length_b 6.7294
_cell_length_c 11.2400
_cell_angle_alpha 90.00
_cell_angle_beta 90.00
_cell_angle_gamma 90.00
_symmetry_space_group_name_H-M 'I 41/a m d'
_symmetry_Int_Tables_number 141
loop_
_symmetry_equiv_pos_as_xyz
'x,y,z'
'-x,-y,-z'
'-y+1/4,x+3/4,z+1/4'
'y+1/4,-x+3/4,-z+1/4'
'-x+1/2,-y,z+1/2'
'x+1/2,y,-z+1/2'
'y+1/4,-x+1/4,z+3/4'
'-y+1/4,x+1/4,-z+3/4'
'x,-y,-z'
'-x,y,z'
'-y+1/4,-x+1/4,-z+3/4'
'y+1/4,x+1/4,z+3/4'
'-x+1/2,y,-z+1/2'
'x+1/2,-y,z+1/2'
'y+1/4,x+3/4,-z+1/4'
'-y+1/4,-x+3/4,z+1/4'
'x+1/2,y+1/2,z+1/2'
'-x+1/2,-y+1/2,-z+1/2'
'-y+3/4,x+1/4,z+3/4'
'y+3/4,-x+1/4,-z+3/4'
'-x,-y+1/2,z'
'x,y+1/2,-z'
'y+3/4,-x+3/4,z+1/4'
'-y+3/4,x+3/4,-z+1/4'
'x+1/2,-y+1/2,-z+1/2'
'-x+1/2,y+1/2,z+1/2'
'-y+3/4,-x+3/4,-z+1/4'
'y+3/4,x+3/4,z+1/4'
'-x,y+1/2,-z'
'x,-y+1/2,z'
'y+3/4,x+1/4,-z+3/4'
'-y+3/4,-x+1/4,z+3/4'
loop_
_atom_site_label
_atom_site_type_symbol
_atom_site_fract_x
_atom_site_fract_y
_atom_site_fract_z
_atom_site_occupancy
Li1 Li 0.0000 0.0000 0.0000 1
Y1 Y 0.0000 0.0000 0.5000 1
F1 F 0.0000 0.0446 0.1665 1
```